Record 1
Calculated powder X-ray diffraction pattern of TbCeTh6 for CuKα, from the GGA-PBE geometry in Alexandria.
Kinematic intensities with the Lorentz-polarization factor, no thermal factor.

Most intense lines, 10° ≤ 2θ ≤ 80°, by angle:
17.68°, intensity 2; 25.11°, intensity 2; 30.88°, intensity 100; 35.81°, intensity 51; 40.21°, intensity 1; 51.54°, intensity 37; 61.30°, intensity 44; 64.35°, intensity 13; 75.81°, intensity 2; 75.92°, intensity 4

Cell and atoms:
```
TbCeTh6
1.0
5.0131 0.0000 0.0000
0.0000 5.0131 0.0000
0.0000 0.0000 10.0388
Tb Ce Th
1 1 6
direct
0.0000 0.0000 0.0000
0.0000 0.0000 0.5000
0.0000 0.5000 0.2540
0.0000 0.5000 0.7460
0.5000 0.0000 0.2540
0.5000 0.0000 0.7460
0.5000 0.5000 0.0000
0.5000 0.5000 0.5000
```

=====

Record 2
Calculated powder X-ray diffraction pattern of TbCe6Th8 for CuKα, from the GGA-PBE geometry in Alexandria.
Kinematic intensities with the Lorentz-polarization factor, no thermal factor.

Most intense lines, 10° ≤ 2θ ≤ 80°, by angle:
23.54°, intensity 15; 26.02°, intensity 43; 29.23°, intensity 13; 29.87°, intensity 17; 32.43°, intensity 69; 33.24°, intensity 73; 33.82°, intensity 100; 48.15°, intensity 13; 51.26°, intensity 29; 65.94°, intensity 19

Cell and atoms:
```
TbCe6Th8
1.0
9.3356 0.0000 0.0000
-4.6678 8.0849 0.0000
0.0000 0.0000 6.4405
Tb Ce Th
1 6 8
direct
0.0000 0.0000 0.0000
0.0652 0.4202 0.8731
0.3549 0.9348 0.8731
0.4202 0.3549 0.1269
0.5798 0.6451 0.8731
0.6451 0.0652 0.1269
0.9348 0.5798 0.1269
0.0081 0.2953 0.3617
0.2872 0.9919 0.3617
0.2953 0.2872 0.6383
0.3333 0.6667 0.4015
0.6667 0.3333 0.5985
0.7047 0.7128 0.3617
0.7128 0.0081 0.6383
0.9919 0.7047 0.6383
```

=====

Record 3
Calculated powder X-ray diffraction pattern of TbCeYTh for CuKα, from the GGA-PBE geometry in Alexandria.
Kinematic intensities with the Lorentz-polarization factor, no thermal factor.

Most intense lines, 10° ≤ 2θ ≤ 80°, by angle:
29.47°, intensity 40; 31.36°, intensity 45; 31.86°, intensity 100; 34.42°, intensity 74; 39.36°, intensity 24; 51.39°, intensity 34; 54.44°, intensity 24; 59.44°, intensity 14; 61.45°, intensity 39; 61.75°, intensity 15

Cell and atoms:
```
TbCeYTh
1.0
1.7780 1.0265 11.4104
-1.7780 1.0265 11.4104
0.0000 -2.0531 11.4104
Tb Ce Y Th
1 1 1 1
direct
0.0000 0.0000 0.0000
0.4166 0.4166 0.4166
0.2477 0.2477 0.2477
0.8305 0.8305 0.8305
```

=====

Record 4
Calculated powder X-ray diffraction pattern of Tb5CeTl3 for CuKα, from the GGA-PBE geometry in Alexandria.
Kinematic intensities with the Lorentz-polarization factor, no thermal factor.

Most intense lines, 10° ≤ 2θ ≤ 80°, by angle:
26.50°, intensity 10; 32.71°, intensity 86; 32.90°, intensity 100; 42.74°, intensity 16; 47.08°, intensity 31; 58.63°, intensity 32; 58.75°, intensity 19; 65.22°, intensity 28; 69.00°, intensity 12; 78.48°, intensity 14

Cell and atoms:
```
Tb5CeTl3
1.0
9.4292 0.0000 0.0000
-4.7146 8.1660 0.0000
0.0000 0.0000 6.7260
Tb Ce Tl
10 2 6
direct
0.0000 0.3254 0.2500
0.0000 0.6746 0.7500
0.3254 0.0000 0.2500
0.3254 0.3254 0.7500
0.3333 0.6667 0.0000
0.3333 0.6667 0.5000
0.6667 0.3333 0.0000
0.6667 0.3333 0.5000
0.6746 0.0000 0.7500
0.6746 0.6746 0.2500
0.0000 0.0000 0.0000
0.0000 0.0000 0.5000
0.0000 0.3416 0.7500
0.0000 0.6584 0.2500
0.3416 0.0000 0.7500
0.3416 0.3416 0.2500
0.6584 0.0000 0.2500
0.6584 0.6584 0.7500
```